Entry 1:
Calculated powder diffractogram of Sr2LuUO6 for a wavelength of 1.5418 Å, from the PBE geometry in the Materials Project.
Neutral-atom scattering factors, no anomalous dispersion.

Crystal structure
```
data_Sr2LuUO6
_space_group_name_H-M_alt 'F m -3 m'
_space_group_IT_number 225
_space_group_name_Hall '-F 4 2 3'
_cell_length_a 8.608
_cell_length_b 8.608
_cell_length_c 8.608
_cell_angle_alpha 90.00
_cell_angle_beta 90.00
_cell_angle_gamma 90.00
loop_
_atom_site_label
_atom_site_fract_x
_atom_site_fract_y
_atom_site_fract_z
Sr1 0.250 0.250 0.250
Lu1 0.000 0.000 0.000
U1 0.000 0.000 0.500
O1 0.000 0.000 0.252
```

Most intense lines, 10° ≤ 2θ ≤ 80°, most intense first:
hkl 2 2 0, 2θ = 29.35°, d = 3.043 Å, I 100; hkl 4 2 2, 2θ = 52.05°, d = 1.757 Å, I 42; hkl 4 0 0, 2θ = 41.98°, d = 2.152 Å, I 29; hkl 2 0 0, 2θ = 20.64°, d = 4.304 Å, I 26; hkl 4 4 0, 2θ = 60.88°, d = 1.522 Å, I 19; hkl 6 2 0, 2θ = 69.00°, d = 1.361 Å, I 19

Entry 2:
Calculated powder diffractogram of Cd4FeCu10Sn5Se20 for a wavelength of 1.5418 Å, from the PBE geometry in the Materials Project.
Neutral-atom scattering factors, no anomalous dispersion.

Crystal structure
```
data_Cd4FeCu10Sn5Se20
_space_group_name_H-M_alt 'C 1 2 1'
_space_group_IT_number 5
_cell_length_a 13.048
_cell_length_b 5.893
_cell_length_c 26.335
_cell_angle_alpha 90.00
_cell_angle_beta 90.56
_cell_angle_gamma 90.00
loop_
_space_group_symop_operation_xyz
'x,y,z'
'-x,y,-z'
'x+1/2,y+1/2,z'
'-x+1/2,y+1/2,-z'
loop_
_atom_site_label
_atom_site_fract_x
_atom_site_fract_y
_atom_site_fract_z
Cd1 0.100 0.000 0.400
Cd2 0.200 0.500 0.800
Fe1 0.000 0.498 0.000
Cu1 0.000 0.999 0.250
Cu2 0.099 0.498 0.149
Cu3 0.100 0.500 0.650
Cu4 0.199 0.003 0.049
Cu5 0.200 0.999 0.550
Sn1 0.000 0.499 0.500
Sn2 0.098 0.999 0.902
Sn3 0.200 0.499 0.300
Se1 0.036 0.757 0.823
Se2 0.038 0.745 0.321
Se3 0.059 0.266 0.072
Se4 0.064 0.254 0.577
Se5 0.136 0.254 0.222
Se6 0.138 0.245 0.721
Se7 0.151 0.730 0.980
Se8 0.162 0.745 0.479
Se9 0.236 0.755 0.623
Se10 0.238 0.746 0.120
```

Most intense lines, 10° ≤ 2θ ≤ 80°, most intense first:
hkl 3 1 -2, 2θ = 26.29°, d = 3.390 Å, I 100; hkl 4 2 4, 2θ = 43.69°, d = 2.072 Å, I 47; hkl 1 3 6, 2θ = 51.45°, d = 1.776 Å, I 30; hkl 2 2 -8, 2θ = 43.40°, d = 2.085 Å, I 26; hkl 8 2 -12, 2θ = 79.83°, d = 1.201 Å, I 11; hkl 0 4 0, 2θ = 63.05°, d = 1.474 Å, I 8